MgNb2O5: simulated PXRD pattern (CuKα), based on a DFT-relaxed cell (PBE, the Materials Project).
Neutral-atom scattering factors, no anomalous dispersion.

Peak list (10 most intense, 10 to 90 degrees two-theta, low angle first)
2θ (°)  Rel. int.
12.8  55
21.4  100
23.8  96
25.7  63
30.0  42
32.2  57
37.2  32
43.7  38
46.7  31
51.8  37

```
MgNb2O5
1.0
6.9295 -1.9438 0.0000
6.9295 1.9438 0.0000
-0.0172 0.0000 4.1438
Mg Nb O
1 2 5
direct
0.0000 0.0000 0.0000 Mg
0.1560 0.1560 0.5042 Nb
0.4322 0.4322 0.4993 Nb
0.1435 0.1435 0.0043 O
0.2937 0.2937 0.5027 O
0.4435 0.4435 0.9996 O
0.6054 0.6054 0.5048 O
0.9804 0.9804 0.4996 O
```